For Pm8DySc2, a cell relaxed with GGA-PBE gives the calculated X-ray diffraction stick pattern in this record (Cu Kα (weighted mean of Kα1 and Kα2)).
No peak broadening, texture or thermal motion is included.

Atomic structure:
Lattice parameters (Å, degrees): 5.5039 8.3802 15.6511 90.00 90.00 90.00
Space group Immm (No. 71)
One atom of each set of equivalent atoms:
Pm 0.0000 0.0000 0.1610 [4 per cell]
Pm 0.0000 0.2026 0.3571 [8 per cell]
Pm 0.0000 0.3008 0.0000 [4 per cell]
Dy 0.0000 0.5000 0.5000 [2 per cell]
Sc 0.0000 0.5000 0.2012 [4 per cell]

Principal peaks in the range 5 to 70 degrees two-theta, sorted by position:
2θ (°), I (rel.), hkl
22.42, 19.9, 1 1 2
29.98, 31.4, 1 1 4
31.85, 100.0, 1 2 3
32.55, 55.2, 2 0 0
34.38, 18.2, 0 0 6
46.70, 16.1, 2 3 1
48.06, 14.2, 2 0 6
52.41, 13.2, 0 3 7
57.62, 18.4, 3 2 3
62.64, 19.4, 1 5 4

***

For ErScPa, a cell relaxed with GGA-PBE gives the calculated X-ray diffraction stick pattern in this record (Cu Kα (weighted mean of Kα1 and Kα2)).
No peak broadening, texture or thermal motion is included.

Atomic structure:
Lattice parameters (Å, degrees): 3.3337 3.3337 8.1836 90.00 90.00 120.00
Space group P3m1 (No. 156)
One atom of each set of equivalent atoms:
Er 0.0000 0.0000 0.0000 [1 per cell]
Sc 0.3333 0.6667 0.6499 [1 per cell]
Pa 0.6667 0.3333 0.3343 [1 per cell]

Principal peaks in the range 5 to 70 degrees two-theta, sorted by position:
2θ (°), I (rel.), hkl
10.81, 38.0, 0 0 1
21.72, 8.3, 0 0 2
30.97, 10.6, 1 0 0
32.88, 100.0, 1 0 1
38.15, 52.1, 0 1 2
45.76, 7.9, 0 1 3
55.05, 34.0, 1 1 0
65.61, 29.4, 1 1 3
65.68, 10.8, 0 2 1
68.99, 9.3, 2 0 2